Simulated powder X-ray diffraction pattern
Compound: Pm2Pr5Sm12
Radiation: Cu Ka
Structure: a GGA-PBE-relaxed structure
Lines closer than 0.1° are merged.

Largest 12 diffraction maxima, in order of rising 2θ, 2θ from 15° to 90°:
Position (°2θ)  d [Å]  Rel. int.
29.92  2.987  100
30.50  2.931  36
30.70  2.912  38
33.44  2.680  36
35.88  2.503  49
49.72  1.834  17
49.99  1.825  19
50.77  1.798  12
52.52  1.742  12
57.61  1.600  14
61.75  1.502  12
62.16  1.493  12

Structure:
a b c (Å): 22.4971 7.1933 8.8212
angles (deg): 90.00 109.77 90.00
Space group C2/m (No. 12)
Inequivalent atoms, fractional coordinates:
Pm1 0.0000 0.2460 0.0000 x4
Pr1 0.0000 0.5000 0.5000 x2
Pr2 0.1518 0.0000 0.0940 x4
Pr3 0.2489 0.5000 0.4908 x4
Sm1 0.0482 0.0000 0.6925 x4
Sm2 0.1062 0.2425 0.3837 x8
Sm3 0.1463 0.5000 0.0695 x4
Sm4 0.1995 0.2466 0.7928 x8